No. 1
Starting from a cell relaxed with GGA-PBE, the XRD peak list of Rb4In2S5 was simulated for Cu Kα, 1.54184 Å.
Lines closer than 0.1° are merged.

Crystal structure
abc: 7.7603 9.5054 11.0218
angles: 72.72 71.01 85.52
Space group P-1 (No. 2)
Asymmetric unit:
1 Rb 0.0013 0.2899 0.4169
2 Rb 0.0433 0.6887 0.0423
3 Rb 0.2740 0.9712 0.1608
4 Rb 0.3898 0.3170 0.5913
5 In 0.3764 0.9096 0.6692
6 In 0.4683 0.4990 0.1597
7 S 0.2280 0.0210 0.8463
8 S 0.2422 0.6066 0.3159
9 S 0.2903 0.0232 0.4554
10 S 0.3057 0.6366 0.7294
11 S 0.3297 0.3438 0.0635

Largest 6 diffraction maxima, in order of rising 2θ, 2θ from 10° to 80°:
12.1 deg, I 54, hkl 1 0 0
22.8 deg, I 100, hkl 1 -2 0
24.6 deg, I 95, hkl 1 0 -2
25.2 deg, I 88, hkl 2 0 2
30.2 deg, I 63, hkl 0 2 -2
31.7 deg, I 71, hkl 2 2 0

=====

No. 2
Starting from a cell relaxed with GGA-PBE, the XRD peak list of RbIn3S5 was simulated for Cu Kα, 1.54184 Å.
Lines closer than 0.1° are merged.

Crystal structure
abc: 12.5798 3.8456 15.6040
angles: 90.00 112.40 90.00
Space group P2/m (No. 10)
Asymmetric unit:
1 Rb 0.0000 0.0000 0.0000
2 Rb 0.3645 0.5000 0.5735
3 In 0.0000 0.5000 0.5000
4 In 0.0223 0.0000 0.7136
5 In 0.2722 0.5000 0.2699
6 In 0.3264 0.5000 0.8354
7 In 0.3828 0.0000 0.0698
8 S 0.0556 0.5000 0.2111
9 S 0.1158 0.0000 0.4574
10 S 0.1445 0.5000 0.6794
11 S 0.2322 0.0000 0.8981
12 S 0.2674 0.5000 0.1066
13 S 0.3701 0.0000 0.3690
14 S 0.4338 0.0000 0.7829
15 S 0.5000 0.5000 0.0000

Largest 6 diffraction maxima, in order of rising 2θ, 2θ from 10° to 80°:
22.9 deg, I 100, hkl 3 0 0
28.0 deg, I 38, hkl 2 1 -2
33.1 deg, I 68, hkl 3 1 -3
33.9 deg, I 35, hkl 2 0 4
48.0 deg, I 36, hkl 1 1 -7
48.1 deg, I 34, hkl 5 1 1

=====

No. 3
Starting from a cell relaxed with GGA-PBE, the XRD peak list of RbInS2 was simulated for Cu Kα, 1.54184 Å.
Lines closer than 0.1° are merged.

Crystal structure
abc: 11.3056 11.3093 15.8450
angles: 90.00 100.26 90.00
Space group C2/c (No. 15)
Asymmetric unit:
1 Rb 0.0351 0.1878 0.3882
2 Rb 0.2155 0.4378 0.1119
3 In 0.1018 0.1884 0.6607
4 In 0.1464 0.4366 0.8400
5 S 0.0000 0.0548 0.7500
6 S 0.0000 0.4297 0.2500
7 S 0.0461 0.3124 0.9365
8 S 0.2040 0.0633 0.5650
9 S 0.2422 0.1872 0.2501

Largest 6 diffraction maxima, in order of rising 2θ, 2θ from 10° to 80°:
22.4 deg, I 38, hkl 2 2 0
23.8 deg, I 33, hkl 2 2 1
24.9 deg, I 33, hkl 1 3 0
30.0 deg, I 100, hkl 2 2 3
45.4 deg, I 36, hkl 4 4 -1
55.4 deg, I 34, hkl 6 2 2

=====

No. 4
Starting from a cell relaxed with GGA-PBE, the XRD peak list of RbInSe2 was simulated for Cu Kα, 1.54184 Å.
Lines closer than 0.1° are merged.

Crystal structure
abc: 11.7620 11.7569 16.5757
angles: 90.00 100.17 90.00
Space group C2/c (No. 15)
Asymmetric unit:
1 Rb 0.0350 0.1872 0.3900
2 Rb 0.2161 0.4376 0.1139
3 In 0.1018 0.1883 0.6602
4 In 0.1467 0.4368 0.8395
5 Se 0.0000 0.0490 0.7500
6 Se 0.0000 0.4238 0.2500
7 Se 0.0475 0.3127 0.9394
8 Se 0.2028 0.0623 0.5614
9 Se 0.2363 0.1876 0.2501

Largest 6 diffraction maxima, in order of rising 2θ, 2θ from 10° to 80°:
21.5 deg, I 20, hkl 2 2 0
22.9 deg, I 46, hkl 2 2 1
28.8 deg, I 100, hkl 2 2 3
41.3 deg, I 40, hkl 4 0 4
43.5 deg, I 41, hkl 4 4 -1
53.0 deg, I 35, hkl 6 2 -5

=====

No. 5
Starting from a cell relaxed with GGA-PBE, the XRD peak list of RbInTe2 was simulated for Cu Kα, 1.54184 Å.
Lines closer than 0.1° are merged.

Crystal structure
abc: 9.0400 9.0400 7.5211
angles: 90.00 90.00 90.00
Space group I4/mcm (No. 140)
Asymmetric unit:
1 Rb 0.0000 0.0000 0.2500
2 In 0.0000 0.5000 0.2500
3 Te 0.1694 0.3306 0.0000

Largest 6 diffraction maxima, in order of rising 2θ, 2θ from 10° to 80°:
25.0 deg, I 100, hkl 2 1 1
27.9 deg, I 42, hkl 2 2 0
30.9 deg, I 96, hkl 2 0 2
42.4 deg, I 38, hkl 3 3 0
43.0 deg, I 26, hkl 4 1 1
46.9 deg, I 26, hkl 4 0 2

=====

No. 6
Starting from a cell relaxed with GGA-PBE, the XRD peak list of In3Rh was simulated for Cu Kα, 1.54184 Å.
Lines closer than 0.1° are merged.

Crystal structure
abc: 7.0988 7.0988 7.2869
angles: 90.00 90.00 90.00
Space group P4_2/mnm (No. 136)
Asymmetric unit:
1 In 0.0000 0.5000 0.0000
2 In 0.1518 0.1518 0.2440
3 Rh 0.1549 0.8451 0.0000

Largest 6 diffraction maxima, in order of rising 2θ, 2θ from 10° to 80°:
17.4 deg, I 22, hkl 1 0 1
30.3 deg, I 34, hkl 1 1 2
35.3 deg, I 21, hkl 2 0 2
37.6 deg, I 100, hkl 2 1 2
40.2 deg, I 57, hkl 3 1 0
66.0 deg, I 25, hkl 3 1 4

=====

Question: Number 3 is which compound?
Answer: RbInS2